[1]
Diffraction record for AgGeIO6. The powder XRD pattern is calculated, not measured: it uses a DFT-relaxed cell (GGA-PBE, Alexandria) and a wavelength of 1.5418 Å.
No peak broadening, texture or thermal motion is included.

The 10 most intense peaks (2θ = 10–90°), by angle:
2θ 16.56, I 156
2θ 26.13, I 1000
2θ 33.48, I 97
2θ 35.13, I 343
2θ 44.30, I 205
2θ 49.31, I 441
2θ 55.53, I 112
2θ 57.76, I 202
2θ 63.03, I 119
2θ 78.36, I 84

Crystal structure
```
18
Lattice="5.109 0.000 0.000 -2.555 4.425 0.000 0.000 0.000 10.707" Properties=species:S:1:pos:R:3 pbc="T T T"
Ag 0.000 0.000 0.000
Ag 0.000 0.000 5.354
Ge 0.000 2.950 2.677
Ge 2.555 1.475 8.030
I 0.000 2.950 8.030
I 2.555 1.475 2.677
O -0.960 1.672 6.949
O -1.586 2.758 9.112
O 0.960 1.672 9.112
O -0.627 4.419 6.949
O 1.928 0.005 1.595
O 0.969 1.667 3.758
O 1.586 2.758 6.949
O 0.627 4.419 9.112
O 3.181 0.005 3.758
O 1.595 2.752 1.595
O 4.141 1.667 1.595
O 3.514 2.752 3.758
```

=====

[2]
Diffraction record for Rb2LiWSe4. The powder XRD pattern is calculated, not measured: it uses a DFT-relaxed cell (GGA-PBE, Alexandria) and a wavelength of 1.5418 Å.
No peak broadening, texture or thermal motion is included.

The 10 most intense peaks (2θ = 10–90°), by angle:
2θ 14.09, I 285
2θ 14.46, I 278
2θ 16.30, I 327
2θ 19.13, I 248
2θ 24.75, I 279
2θ 26.30, I 1000
2θ 34.79, I 215
2θ 36.56, I 270
2θ 49.19, I 191
2θ 53.48, I 214

Crystal structure
```
16
Lattice="0.000 7.015 12.568 3.035 0.000 12.568 3.035 7.015 0.000" Properties=species:S:1:pos:R:3 pbc="T T T"
Rb 2.276 5.261 1.368
Rb 3.793 8.769 7.652
Rb 2.276 5.261 17.484
Rb 3.793 8.769 23.769
Li 0.759 1.754 3.142
Li 5.311 12.276 21.995
W 2.276 5.261 9.426
W 3.793 8.769 15.710
Se 2.405 3.139 4.503
Se 3.664 6.646 10.787
Se 2.147 7.384 4.503
Se 2.147 3.139 14.350
Se 3.922 10.891 10.787
Se 3.922 6.646 20.634
Se 2.405 7.384 14.350
Se 3.664 10.891 20.634
```

=====

[3]
Diffraction record for Sm2Zn2Cu. The powder XRD pattern is calculated, not measured: it uses a DFT-relaxed cell (GGA-PBE, Alexandria) and a wavelength of 1.5418 Å.
No peak broadening, texture or thermal motion is included.

The 10 most intense peaks (2θ = 10–90°), by angle:
2θ 25.57, I 229
2θ 31.63, I 579
2θ 31.93, I 1000
2θ 33.54, I 500
2θ 33.72, I 534
2θ 35.74, I 299
2θ 36.43, I 311
2θ 37.30, I 365
2θ 39.91, I 646
2θ 40.52, I 552

Crystal structure
```
10
Lattice="5.026 -2.259 0.000 5.026 2.259 0.000 -4.806 0.000 9.642" Properties=species:S:1:pos:R:3 pbc="T T T"
Sm -1.449 0.000 3.234
Sm 1.479 0.000 1.072
Sm 3.767 0.000 8.570
Sm 6.695 0.000 6.408
Zn 1.457 0.000 4.210
Zn 4.435 0.000 1.134
Zn 0.810 0.000 8.508
Zn 3.789 0.000 5.432
Cu -0.382 0.000 6.269
Cu 5.628 0.000 3.373
```

=====

[4]
Diffraction record for LiMnRh3. The powder XRD pattern is calculated, not measured: it uses a DFT-relaxed cell (GGA-PBE, Alexandria) and a wavelength of 1.5418 Å.
No peak broadening, texture or thermal motion is included.

The 10 most intense peaks (2θ = 10–90°), by angle:
2θ 13.14, I 201
2θ 24.51, I 263
2θ 27.61, I 143
2θ 38.22, I 259
2θ 38.70, I 113
2θ 41.90, I 385
2θ 43.80, I 1000
2θ 44.23, I 502
2θ 58.00, I 148
2θ 77.86, I 174

Crystal structure
```
10
Lattice="4.714 0.000 0.000 0.000 4.312 0.000 -2.268 0.000 6.738" Properties=species:S:1:pos:R:3 pbc="T T T"
Li 0.402 1.078 0.636
Li 2.043 3.234 6.103
Mn -0.356 3.234 4.729
Mn 2.801 1.078 2.009
Rh -0.345 3.234 2.010
Rh 0.448 1.078 3.384
Rh 1.990 3.234 0.670
Rh 0.455 1.078 6.068
Rh 1.997 3.234 3.355
Rh 2.791 1.078 4.728
```

=====

[5]
Diffraction record for Th2Ge5Rh3. The powder XRD pattern is calculated, not measured: it uses a DFT-relaxed cell (GGA-PBE, Alexandria) and a wavelength of 1.5418 Å.
No peak broadening, texture or thermal motion is included.

The 10 most intense peaks (2θ = 10–90°), by angle:
2θ 22.46, I 233
2θ 29.02, I 213
2θ 33.68, I 1000
2θ 34.06, I 762
2θ 34.71, I 687
2θ 42.06, I 775
2θ 49.59, I 281
2θ 54.47, I 258
2θ 55.38, I 202
2θ 71.34, I 180

Crystal structure
```
20
Lattice="-5.084 6.002 3.077 5.084 -6.002 3.077 5.084 6.002 -3.077" Properties=species:S:1:pos:R:3 pbc="T T T"
Th 2.350 1.610 0.000
Th 2.350 -1.610 3.077
Th 2.734 7.612 0.000
Th 2.734 4.392 3.077
Ge 5.084 -2.695 1.539
Ge 6.678 1.211 0.000
Ge 0.000 0.000 1.539
Ge 1.594 4.791 0.000
Ge 5.084 2.695 1.539
Ge 0.000 3.307 1.539
Ge 3.490 1.211 3.077
Ge 0.000 0.000 4.616
Ge -1.594 4.791 3.077
Ge 0.000 8.697 1.539
Rh 3.972 -4.317 3.077
Rh 5.084 0.000 1.539
Rh 3.972 4.317 0.000
Rh 1.112 1.685 3.077
Rh 0.000 6.002 1.539
Rh 1.112 10.319 0.000
```

=====

[6]
Diffraction record for Ac2AlGa6Ag. The powder XRD pattern is calculated, not measured: it uses a DFT-relaxed cell (GGA-PBE, Alexandria) and a wavelength of 1.5418 Å.
No peak broadening, texture or thermal motion is included.

The 10 most intense peaks (2θ = 10–90°), by angle:
2θ 19.62, I 350
2θ 26.90, I 930
2θ 28.84, I 687
2θ 29.15, I 372
2θ 33.52, I 1000
2θ 35.65, I 691
2θ 39.85, I 420
2θ 43.49, I 354
2θ 52.64, I 290
2θ 55.45, I 352

Crystal structure
```
20
Lattice="3.314 1.913 12.254 -3.314 1.913 12.254 0.000 -3.827 12.254" Properties=species:S:1:pos:R:3 pbc="T T T"
Ac 0.000 0.000 4.089
Ac 0.000 0.000 10.557
Ac 0.000 0.000 26.205
Ac 0.000 0.000 32.673
Al 0.000 0.000 15.742
Al 0.000 0.000 21.020
Ga -2.027 -1.170 17.088
Ga 0.000 -1.578 13.622
Ga -1.367 0.789 13.622
Ga 0.000 -2.341 19.674
Ga -2.027 1.170 19.674
Ga -1.367 -0.789 23.141
Ga 1.367 0.789 13.622
Ga 2.027 -1.170 17.088
Ga 0.000 2.341 17.088
Ga 1.367 -0.789 23.141
Ga 0.000 1.578 23.141
Ga 2.027 1.170 19.674
Ag 0.000 0.000 0.000
Ag 0.000 0.000 18.381
```

=====

[7]
Diffraction record for Er2Zn16Au. The powder XRD pattern is calculated, not measured: it uses a DFT-relaxed cell (GGA-PBE, Alexandria) and a wavelength of 1.5418 Å.
No peak broadening, texture or thermal motion is included.

The 10 most intense peaks (2θ = 10–90°), by angle:
2θ 28.44, I 260
2θ 34.64, I 650
2θ 35.74, I 417
2θ 40.21, I 838
2θ 40.43, I 1000
2θ 41.14, I 602
2θ 41.40, I 330
2θ 45.41, I 362
2θ 73.09, I 318
2θ 74.43, I 291

Crystal structure
```
19
Lattice="4.485 2.590 4.393 -4.485 2.590 4.393 0.000 -5.179 4.393" Properties=species:S:1:pos:R:3 pbc="T T T"
Er 0.000 0.000 0.000
Er 0.000 0.000 4.317
Zn 0.000 -2.506 2.353
Zn -2.171 1.253 2.353
Zn -2.212 -1.277 6.547
Zn 0.000 -2.684 6.357
Zn -2.325 1.342 6.357
Zn -1.343 -2.317 8.751
Zn -2.678 -0.005 8.751
Zn 2.171 1.253 2.353
Zn 0.000 0.000 7.390
Zn 2.212 -1.277 6.547
Zn 0.000 2.554 6.547
Zn 1.343 -2.317 8.751
Zn -1.335 2.322 8.751
Zn 2.325 1.342 6.357
Zn 2.678 -0.005 8.751
Zn 1.335 2.322 8.751
Au 0.000 0.000 10.113
```

=====

[8]
Diffraction record for Ce4TlCl12. The powder XRD pattern is calculated, not measured: it uses a DFT-relaxed cell (GGA-PBE, Alexandria) and a wavelength of 1.5418 Å.
No peak broadening, texture or thermal motion is included.

The 10 most intense peaks (2θ = 10–90°), by angle:
2θ 11.44, I 285
2θ 11.59, I 507
2θ 16.20, I 674
2θ 16.65, I 237
2θ 22.99, I 371
2θ 23.31, I 1000
2θ 31.12, I 331
2θ 32.73, I 594
2θ 40.57, I 625
2θ 41.16, I 408

Crystal structure
```
17
Lattice="-5.325 5.468 5.475 5.325 -5.468 5.475 5.325 5.468 -5.475" Properties=species:S:1:pos:R:3 pbc="T T T"
Ce 2.663 2.734 -2.738
Ce 2.663 -2.734 2.738
Ce -2.663 2.734 2.738
Ce 2.663 2.734 2.738
Tl 0.000 0.000 0.000
Cl 5.325 -2.122 2.144
Cl 1.970 2.728 0.000
Cl 3.355 -2.741 5.475
Cl 3.366 5.468 -2.735
Cl 1.959 0.000 2.740
Cl 5.325 2.122 2.144
Cl 0.000 3.346 3.331
Cl 3.366 5.468 2.735
Cl 1.959 0.000 8.210
Cl 1.970 8.209 0.000
Cl 3.355 2.741 5.475
Cl 0.000 7.590 3.331
```

=====

[9]
Diffraction record for Tm4HfSc3. The powder XRD pattern is calculated, not measured: it uses a DFT-relaxed cell (GGA-PBE, Alexandria) and a wavelength of 1.5418 Å.
No peak broadening, texture or thermal motion is included.

The 10 most intense peaks (2θ = 10–90°), by angle:
2θ 10.63, I 214
2θ 21.35, I 242
2θ 28.45, I 467
2θ 32.23, I 1000
2θ 43.51, I 871
2θ 57.43, I 121
2θ 65.35, I 251
2θ 68.72, I 221
2θ 74.79, I 115
2θ 86.86, I 117

Crystal structure
```
8
Lattice="5.562 -6.275 0.000 5.562 6.275 0.000 0.000 0.000 3.204" Properties=species:S:1:pos:R:3 pbc="T T T"
Tm 2.659 0.000 1.602
Tm 5.562 3.157 0.000
Tm 5.562 -3.157 0.000
Tm 8.465 0.000 1.602
Hf 0.000 0.000 0.000
Sc 2.781 3.138 1.602
Sc 2.781 -3.138 1.602
Sc 5.562 0.000 0.000
```

=====

[10]
Diffraction record for Y3ZnPd3. The powder XRD pattern is calculated, not measured: it uses a DFT-relaxed cell (GGA-PBE, Alexandria) and a wavelength of 1.5418 Å.
No peak broadening, texture or thermal motion is included.

The 10 most intense peaks (2θ = 10–90°), by angle:
2θ 26.59, I 165
2θ 30.08, I 170
2θ 33.92, I 382
2θ 34.43, I 836
2θ 35.00, I 255
2θ 37.63, I 285
2θ 38.94, I 1000
2θ 39.39, I 225
2θ 42.91, I 184
2θ 44.51, I 369

Crystal structure
```
14
Lattice="2.035 -5.211 0.000 2.035 5.211 0.000 0.000 0.000 14.341" Properties=species:S:1:pos:R:3 pbc="T T T"
Y 2.035 4.866 10.756
Y 2.035 2.019 8.658
Y 2.035 2.019 12.854
Y 2.035 -2.019 1.487
Y 2.035 -2.019 5.683
Y 2.035 -4.866 3.585
Zn 0.000 0.000 0.000
Zn 0.000 0.000 7.171
Pd 2.035 2.664 3.585
Pd 2.035 0.958 1.330
Pd 2.035 0.958 5.841
Pd 2.035 -0.958 8.500
Pd 2.035 -0.958 13.012
Pd 2.035 -2.664 10.756
```

=====

[11]
Diffraction record for Cs3Li2LaCl9. The powder XRD pattern is calculated, not measured: it uses a DFT-relaxed cell (GGA-PBE, Alexandria) and a wavelength of 1.5418 Å.
No peak broadening, texture or thermal motion is included.

The 10 most intense peaks (2θ = 10–90°), by angle:
2θ 16.56, I 256
2θ 23.32, I 688
2θ 23.69, I 574
2θ 28.42, I 214
2θ 29.05, I 673
2θ 33.48, I 1000
2θ 41.43, I 296
2θ 47.67, I 319
2θ 48.48, I 316
2θ 54.47, I 171

Crystal structure
```
15
Lattice="7.510 0.000 0.000 -3.755 6.504 0.000 0.000 0.000 9.421" Properties=species:S:1:pos:R:3 pbc="T T T"
Cs 0.000 0.000 0.000
Cs 0.000 4.336 6.417
Cs 3.755 2.168 3.005
Li 0.000 4.336 1.464
Li 3.755 2.168 7.958
La 0.000 0.000 4.711
Cl -1.878 3.252 0.000
Cl 0.000 2.237 3.073
Cl -1.818 5.386 3.073
Cl 1.937 1.118 6.348
Cl 3.755 0.000 0.000
Cl 1.878 3.252 0.000
Cl 1.818 5.386 3.073
Cl 5.573 1.118 6.348
Cl 3.755 4.267 6.348
```

=====

[12]
Diffraction record for Pr2Nd4Tl. The powder XRD pattern is calculated, not measured: it uses a DFT-relaxed cell (GGA-PBE, Alexandria) and a wavelength of 1.5418 Å.
No peak broadening, texture or thermal motion is included.

The 10 most intense peaks (2θ = 10–90°), by angle:
2θ 26.61, I 276
2θ 27.89, I 352
2θ 28.73, I 430
2θ 30.98, I 676
2θ 31.13, I 395
2θ 31.24, I 625
2θ 31.74, I 1000
2θ 34.24, I 644
2θ 35.36, I 431
2θ 50.32, I 309

Crystal structure
```
14
Lattice="6.699 0.000 0.000 0.000 6.477 0.000 0.000 0.000 11.038" Properties=species:S:1:pos:R:3 pbc="T T T"
Pr 0.000 1.585 0.462
Pr 0.000 4.891 10.575
Pr 3.349 1.585 5.057
Pr 3.349 4.891 5.981
Nd 0.000 0.456 3.821
Nd 0.000 6.021 7.217
Nd 1.675 2.556 8.278
Nd 1.675 3.921 2.759
Nd 3.349 0.456 1.698
Nd 3.349 6.021 9.340
Nd 5.024 2.556 8.278
Nd 5.024 3.921 2.759
Tl 0.000 3.238 5.519
Tl 3.349 3.238 0.000
```